Record 1
Diffraction record for Na3Pr2ErTe6. The X-ray powder pattern is simulated, not measured: it uses a cell relaxed with PBE and Cu Ka.
Peak positions follow from Bragg's law for the DFT cell and can differ from measured ones.

Atomic structure:
Cell: 7.826 13.562 8.012 Å, 90.00 109.04 90.00°
Space group C2/m (No. 12)
Inequivalent atoms, fractional coordinates:
Na 0.000 0.000 0.000 (multiplicity 2)
Na 0.000 0.330 0.000 (multiplicity 4)
Pr 0.000 0.166 0.500 (multiplicity 4)
Er 0.000 0.500 0.500 (multiplicity 2)
Te 0.240 0.339 0.737 (multiplicity 8)
Te 0.243 0.500 0.263 (multiplicity 4)

Largest 12 diffraction maxima, in order of rising 2θ, 15 to 90 degrees two-theta:
(hkl)  2theta  d (Å)  I (rel.)
1 3 0  23.1  3.857  12
1 3 1  27.7  3.223  100
2 0 -3  35.9  2.499  9
2 0 2  39.2  2.299  38
0 6 0  39.9  2.260  37
3 3 -2  41.7  2.165  8
0 0 4  48.0  1.894  7
4 0 0  49.2  1.850  20
2 6 2  57.2  1.612  12
3 3 3  64.2  1.451  17
4 6 0  65.2  1.432  17
5 3 1  72.0  1.312  12


Record 2
Diffraction record for NaCa2Cd16. The X-ray powder pattern is simulated, not measured: it uses a cell relaxed with PBE and Cu Ka.
Peak positions follow from Bragg's law for the DFT cell and can differ from measured ones.

Atomic structure:
Cell: 10.2557 10.2557 15.0235 Å, 90.00 90.00 120.00°
Space group R3m (No. 160, hexagonal axes)
Inequivalent atoms, fractional coordinates:
Na 0.0000 0.0000 0.0000 (multiplicity 3)
Ca 0.0000 0.0000 0.2554 (multiplicity 3)
Ca 0.0000 0.0000 0.5659 (multiplicity 3)
Cd 0.0000 0.0000 0.7876 (multiplicity 3)
Cd 0.9997 0.3038 0.9142 (multiplicity 18)
Cd 0.0001 0.5000 0.4142 (multiplicity 9)
Cd 0.0175 0.5087 0.0642 (multiplicity 9)
Cd 0.1700 0.3399 0.0980 (multiplicity 9)

Largest 12 diffraction maxima, in order of rising 2θ, 15 to 90 degrees two-theta:
(hkl)  2theta  d (Å)  I (rel.)
1 1 0  17.3  5.128  47
3 0 0  30.2  2.961  15
0 2 4  31.2  2.868  16
2 2 0  35.0  2.564  36
0 3 3  35.2  2.549  75
0 0 6  35.9  2.504  39
2 0 5  36.1  2.489  14
2 2 3  39.5  2.282  100
1 1 6  40.1  2.250  19
6 0 0  62.8  1.480  19
0 3 9  64.0  1.454  19
0 6 6  74.5  1.274  16


Record 3
Diffraction record for K3Pu3ScS8. The X-ray powder pattern is simulated, not measured: it uses a cell relaxed with PBE and Cu Ka.
Peak positions follow from Bragg's law for the DFT cell and can differ from measured ones.

Atomic structure:
Cell: 8.0054 8.0054 22.2910 Å, 90.00 90.00 120.00°
Space group R-3m (No. 166, hexagonal axes)
Inequivalent atoms, fractional coordinates:
K 0.0000 0.5000 0.0000 (multiplicity 9)
Pu 0.0000 0.5000 0.5000 (multiplicity 9)
Sc 0.0000 0.0000 0.5000 (multiplicity 3)
S 0.0000 0.0000 0.2330 (multiplicity 6)
S 0.0114 0.5057 0.2299 (multiplicity 18)

Largest 12 diffraction maxima, in order of rising 2θ, 15 to 90 degrees two-theta:
(hkl)  2theta  d (Å)  I (rel.)
0 1 2  15.0  5.887  22
0 0 6  24.0  3.715  21
0 2 1  26.0  3.425  41
2 0 2  26.9  3.310  40
0 2 4  30.4  2.943  100
2 0 5  32.7  2.737  15
0 2 7  38.4  2.345  29
2 0 8  41.6  2.172  36
2 2 0  45.3  2.001  34
2 2 3  47.0  1.932  26
2 2 6  51.9  1.762  17
4 0 4  55.5  1.655  17


Record 4
Diffraction record for CsSm2AgO4. The X-ray powder pattern is simulated, not measured: it uses a cell relaxed with PBE and Cu Ka.
Peak positions follow from Bragg's law for the DFT cell and can differ from measured ones.

Atomic structure:
Cell: 3.689 12.375 12.748 Å, 90.00 90.00 90.00°
Space group Cmcm (No. 63)
Inequivalent atoms, fractional coordinates:
Cs 0.000 0.094 0.250 (multiplicity 4)
Sm 0.000 0.366 0.058 (multiplicity 8)
Ag 0.000 0.186 0.750 (multiplicity 4)
O 0.000 0.000 0.000 (multiplicity 4)
O 0.000 0.249 0.583 (multiplicity 8)
O 0.000 0.419 0.250 (multiplicity 4)

Largest 12 diffraction maxima, in order of rising 2θ, 15 to 90 degrees two-theta:
(hkl)  2theta  d (Å)  I (rel.)
0 2 3  25.4  3.503  57
0 0 4  28.0  3.187  23
0 4 0  28.9  3.092  100
0 4 1  29.7  3.006  21
1 1 3  33.0  2.717  25
1 3 1  33.3  2.688  47
1 3 2  35.6  2.525  62
0 0 6  42.6  2.125  17
1 3 5  48.7  1.870  30
1 5 3  49.3  1.850  27
2 0 0  49.4  1.844  20
1 1 8  64.1  1.453  19


Record 5
Diffraction record for Re4Se7I. The X-ray powder pattern is simulated, not measured: it uses a cell relaxed with PBE and Cu Ka.
Peak positions follow from Bragg's law for the DFT cell and can differ from measured ones.

Atomic structure:
Cell: 4.742 15.371 7.932 Å, 90.00 90.00 90.00°
Space group Pmmn (No. 59, origin choice 2)
Inequivalent atoms, fractional coordinates:
Re 0.250 0.013 0.231 (multiplicity 4)
Re 0.250 0.620 0.721 (multiplicity 4)
Se 0.250 0.013 0.888 (multiplicity 4)
Se 0.250 0.141 0.395 (multiplicity 4)
Se 0.250 0.611 0.396 (multiplicity 4)
Se 0.250 0.750 0.886 (multiplicity 2)
I 0.250 0.250 0.812 (multiplicity 2)

Largest 12 diffraction maxima, in order of rising 2θ, 15 to 90 degrees two-theta:
(hkl)  2theta  d (Å)  I (rel.)
0 3 1  20.6  4.304  48
0 0 2  22.4  3.966  66
1 2 1  24.8  3.597  74
0 4 1  25.8  3.458  68
1 0 2  29.4  3.042  27
2 0 0  37.9  2.371  77
0 4 3  41.5  2.178  27
1 6 1  41.7  2.168  27
1 4 3  45.8  1.979  100
2 4 1  46.4  1.956  27
0 8 0  47.3  1.921  33
2 8 0  62.2  1.493  29


Record 6
Diffraction record for Rb3ScH6O6. The X-ray powder pattern is simulated, not measured: it uses a cell relaxed with PBE and Cu Ka.
Peak positions follow from Bragg's law for the DFT cell and can differ from measured ones.

Atomic structure:
Cell: 11.5615 11.5615 11.6347 Å, 90.00 90.00 120.00°
Space group R-3c (No. 167, hexagonal axes)
Inequivalent atoms, fractional coordinates:
Rb 0.0000 0.3804 0.2500 (multiplicity 18)
Sc 0.0000 0.0000 0.0000 (multiplicity 6)
H 0.0535 0.1562 0.3201 (multiplicity 36)
O 0.0116 0.1574 0.3923 (multiplicity 36)

Largest 12 diffraction maxima, in order of rising 2θ, 15 to 90 degrees two-theta:
(hkl)  2theta  d (Å)  I (rel.)
0 1 2  17.6  5.030  41
2 1 1  24.7  3.599  14
3 0 0  26.7  3.338  69
1 1 3  27.7  3.221  100
1 3 1  33.2  2.701  59
0 2 4  35.7  2.515  13
3 1 2  35.8  2.506  33
2 2 3  38.9  2.318  63
2 4 1  48.8  1.868  14
1 1 6  49.6  1.838  13
3 2 4  50.7  1.802  34
1 6 1  61.2  1.514  16


Record 7
Diffraction record for In3CuSe5. The X-ray powder pattern is simulated, not measured: it uses a cell relaxed with PBE and Cu Ka.
Peak positions follow from Bragg's law for the DFT cell and can differ from measured ones.

Atomic structure:
Cell: 5.867 7.200 7.220 Å, 80.23 66.18 66.19°
Space group P1 (No. 1)
Inequivalent atoms, fractional coordinates:
In 0.000 0.000 0.000 (multiplicity 1)
In 0.184 0.217 0.386 (multiplicity 1)
In 0.775 0.786 0.606 (multiplicity 1)
Cu 0.347 0.417 0.802 (multiplicity 1)
Se 0.006 0.333 0.090 (multiplicity 1)
Se 0.262 0.510 0.491 (multiplicity 1)
Se 0.434 0.673 0.919 (multiplicity 1)
Se 0.623 0.879 0.288 (multiplicity 1)
Se 0.796 0.124 0.704 (multiplicity 1)

Largest 12 diffraction maxima, in order of rising 2θ, 15 to 90 degrees two-theta:
(hkl)  2theta  d (Å)  I (rel.)
1 0 0  17.9  4.968  9
1 -1 0  26.1  3.410  37
1 0 2  26.2  3.396  100
2 0 -1  43.3  2.088  31
0 1 -3  43.4  2.083  17
2 2 3  43.5  2.079  32
2 3 0  43.7  2.073  15
1 3 3  51.3  1.782  14
3 0 1  51.5  1.775  9
1 4 0  51.6  1.771  20
2 1 6  79.7  1.203  6
4 3 -1  80.0  1.200  8


Record 8
Diffraction record for CeSmThPa. The X-ray powder pattern is simulated, not measured: it uses a cell relaxed with PBE and Cu Ka.
Peak positions follow from Bragg's law for the DFT cell and can differ from measured ones.

Atomic structure:
Cell: 7.773 7.773 7.773 Å, 90.00 90.00 90.00°
Space group F-43m (No. 216)
Inequivalent atoms, fractional coordinates:
Ce 0.000 0.000 0.000 (multiplicity 4)
Sm 0.250 0.250 0.250 (multiplicity 4)
Th 0.000 0.000 0.500 (multiplicity 4)
Pa 0.250 0.250 0.750 (multiplicity 4)

Largest 11 diffraction maxima, in order of rising 2θ, 15 to 90 degrees two-theta:
(hkl)  2theta  d (Å)  I (rel.)
1 1 1  19.8  4.488  5
2 2 0  32.6  2.748  100
3 1 1  38.4  2.344  3
4 0 0  46.7  1.943  19
3 3 1  51.2  1.783  1
4 2 2  58.1  1.587  39
5 1 1  62.0  1.496  1
4 4 0  68.3  1.374  12
5 3 1  71.9  1.314  1
6 2 0  77.7  1.229  17
4 4 4  86.8  1.122  4


Record 9
Diffraction record for Ba2YMg. The X-ray powder pattern is simulated, not measured: it uses a cell relaxed with PBE and Cu Ka.
Peak positions follow from Bragg's law for the DFT cell and can differ from measured ones.

Atomic structure:
Cell: 8.681 8.681 8.681 Å, 90.00 90.00 90.00°
Space group F-43m (No. 216)
Inequivalent atoms, fractional coordinates:
Ba 0.000 0.000 0.000 (multiplicity 4)
Ba 0.250 0.250 0.250 (multiplicity 4)
Y 0.250 0.250 0.750 (multiplicity 4)
Mg 0.000 0.000 0.500 (multiplicity 4)

Largest 12 diffraction maxima, in order of rising 2θ, 15 to 90 degrees two-theta:
(hkl)  2theta  d (Å)  I (rel.)
1 1 1  17.7  5.012  19
2 2 0  29.1  3.069  100
3 1 1  34.3  2.617  11
4 0 0  41.6  2.170  19
3 3 1  45.5  1.992  5
4 2 2  51.6  1.772  39
5 1 1  55.0  1.671  4
4 4 0  60.3  1.535  12
5 3 1  63.4  1.467  4
6 2 0  68.3  1.373  17
4 4 4  75.9  1.253  4
6 4 2  83.3  1.160  20


Record 10
Diffraction record for Y10Cd3Ni. The X-ray powder pattern is simulated, not measured: it uses a cell relaxed with PBE and Cu Ka.
Peak positions follow from Bragg's law for the DFT cell and can differ from measured ones.

Atomic structure:
Cell: 9.6899 9.6899 9.7570 Å, 90.00 90.00 120.00°
Space group P6_3/mmc (No. 194)
Inequivalent atoms, fractional coordinates:
Y 0.0000 0.0000 0.0000 (multiplicity 2)
Y 0.0884 0.5442 0.2500 (multiplicity 6)
Y 0.2106 0.4211 0.5632 (multiplicity 12)
Cd 0.1155 0.2311 0.2500 (multiplicity 6)
Ni 0.3333 0.6667 0.7500 (multiplicity 2)

Largest 12 diffraction maxima, in order of rising 2θ, 15 to 90 degrees two-theta:
(hkl)  2theta  d (Å)  I (rel.)
2 1 0  28.1  3.175  15
1 0 3  29.5  3.033  27
3 0 0  32.0  2.797  17
3 0 1  33.3  2.689  87
2 1 2  33.7  2.659  100
2 0 3  34.9  2.571  47
0 0 4  36.8  2.439  13
2 2 0  37.1  2.423  14
3 2 3  55.5  1.657  20
3 3 0  57.0  1.615  26
3 0 5  57.6  1.600  31
5 0 2  58.1  1.587  18


Record 11
Diffraction record for Ca2DyGa3Pt4. The X-ray powder pattern is simulated, not measured: it uses a cell relaxed with PBE and Cu Ka.
Peak positions follow from Bragg's law for the DFT cell and can differ from measured ones.

Atomic structure:
Cell: 4.218 4.218 11.521 Å, 90.00 90.00 90.00°
Space group P-4m2 (No. 115)
Inequivalent atoms, fractional coordinates:
Ca 0.000 0.500 0.230 (multiplicity 2)
Dy 0.000 0.000 0.500 (multiplicity 1)
Ga 0.000 0.500 0.873 (multiplicity 2)
Ga 0.500 0.500 0.500 (multiplicity 1)
Pt 0.000 0.000 0.000 (multiplicity 1)
Pt 0.000 0.500 0.656 (multiplicity 2)
Pt 0.500 0.500 0.000 (multiplicity 1)

Largest 12 diffraction maxima, in order of rising 2θ, 15 to 90 degrees two-theta:
(hkl)  2theta  d (Å)  I (rel.)
0 0 2  15.4  5.761  33
1 0 1  22.4  3.961  47
1 0 2  26.2  3.403  16
0 0 4  31.0  2.886  14
1 1 2  33.8  2.649  100
2 0 0  42.9  2.109  55
1 1 4  43.7  2.072  64
1 0 5  44.8  2.022  20
2 2 0  62.3  1.491  18
2 0 6  65.8  1.420  18
3 1 2  72.8  1.300  22
3 1 4  79.1  1.210  23


Record 12
Diffraction record for Li3Se2. The X-ray powder pattern is simulated, not measured: it uses a cell relaxed with PBE and Cu Ka.
Peak positions follow from Bragg's law for the DFT cell and can differ from measured ones.

Atomic structure:
Cell: 4.3049 4.3049 17.7379 Å, 90.00 90.00 120.00°
Space group R-3m (No. 166, hexagonal axes)
Inequivalent atoms, fractional coordinates:
Li 0.0000 0.0000 0.0000 (multiplicity 3)
Li 0.0000 0.0000 0.2409 (multiplicity 6)
Se 0.0000 0.0000 0.4140 (multiplicity 6)

Largest 12 diffraction maxima, in order of rising 2θ, 15 to 90 degrees two-theta:
(hkl)  2theta  d (Å)  I (rel.)
1 0 1  24.4  3.648  100
0 1 2  25.9  3.437  24
0 0 6  30.2  2.956  30
1 0 4  31.3  2.854  16
0 1 5  34.9  2.570  53
1 1 0  42.0  2.152  41
1 0 7  43.2  2.096  21
0 2 1  49.1  1.854  14
1 1 6  52.6  1.740  37
2 0 5  55.7  1.650  13
0 0 12  62.8  1.479  13
1 1 12  78.5  1.219  17